Theoretical powder X-ray diffraction pattern of Ca3ZnRh2 for Cu Ka, from DFT lattice parameters and positions (PBE).

Atomic structure:
```
data_Ca3ZnRh2
_symmetry_space_group_name_H-M 'R -3 c'
_symmetry_Int_Tables_number 167
_symmetry_space_group_name_Hall '-R 3 2"c'
_cell_length_a 8.2259
_cell_length_b 8.2259
_cell_length_c 15.1314
_cell_angle_alpha 90.00
_cell_angle_beta 90.00
_cell_angle_gamma 120.00
loop_
_atom_site_label
_atom_site_type_symbol
_atom_site_fract_x
_atom_site_fract_y
_atom_site_fract_z
Ca1 Ca 0.0000 0.3183 0.2500
Zn1 Zn 0.0000 0.0000 0.0000
Rh1 Rh 0.0000 0.0000 0.1621
```

Top 10 peaks for 2θ = 10–80°, in order of rising 2θ:
- 21.61°, d 4.113, I = 100
- 27.99°, d 3.188, I = 27
- 37.89°, d 2.375, I = 79
- 42.03°, d 2.150, I = 84
- 44.03°, d 2.056, I = 16
- 52.96°, d 1.729, I = 9
- 57.86°, d 1.594, I = 31
- 59.45°, d 1.555, I = 16
- 68.43°, d 1.371, I = 12
- 71.26°, d 1.323, I = 32

---

Theoretical powder X-ray diffraction pattern of HfMg6C for Cu Ka, from DFT lattice parameters and positions (PBE).

Atomic structure:
```
data_HfMg6C
_symmetry_space_group_name_H-M 'A m m 2'
_symmetry_Int_Tables_number 38
_symmetry_space_group_name_Hall 'A 2 -2'
_cell_length_a 4.4769
_cell_length_b 7.9456
_cell_length_c 10.0439
_cell_angle_alpha 90.00
_cell_angle_beta 90.00
_cell_angle_gamma 90.00
loop_
_atom_site_label
_atom_site_type_symbol
_atom_site_fract_x
_atom_site_fract_y
_atom_site_fract_z
Hf1 Hf 0.0000 0.0000 0.0000
Mg1 Mg 0.0000 0.0000 0.4328
Mg2 Mg 0.0000 0.1944 0.7239
Mg3 Mg 0.5000 0.0000 0.2260
Mg4 Mg 0.5000 0.2321 0.4757
C1 C 0.5000 0.0000 0.0120
```

Top 10 peaks for 2θ = 10–80°, in order of rising 2θ:
- 14.21°, d 6.231, I = 100
- 17.66°, d 5.022, I = 39
- 19.83°, d 4.477, I = 24
- 24.48°, d 3.636, I = 45
- 28.65°, d 3.116, I = 21
- 28.94°, d 3.085, I = 22
- 30.07°, d 2.972, I = 20
- 35.08°, d 2.558, I = 97
- 35.33°, d 2.540, I = 32
- 35.76°, d 2.511, I = 19

---

Theoretical powder X-ray diffraction pattern of Tm5GaCo for Cu Ka, from DFT lattice parameters and positions (PBE).

Atomic structure:
```
data_Tm5GaCo
_symmetry_space_group_name_H-M 'C 1 2/c 1'
_symmetry_Int_Tables_number 15
_symmetry_space_group_name_Hall '-C 2yc'
_cell_length_a 10.6002
_cell_length_b 6.5886
_cell_length_c 10.9097
_cell_angle_alpha 90.00
_cell_angle_beta 109.66
_cell_angle_gamma 90.00
loop_
_atom_site_label
_atom_site_type_symbol
_atom_site_fract_x
_atom_site_fract_y
_atom_site_fract_z
Tm1 Tm 0.0000 0.0050 0.2500
Tm2 Tm 0.1190 0.3304 0.0416
Tm3 Tm 0.2274 0.1731 0.6400
Ga1 Ga 0.0000 0.4696 0.7500
Co1 Co 0.0000 0.0000 0.0000
```

Top 10 peaks for 2θ = 10–80°, in order of rising 2θ:
- 28.67°, d 3.114, I = 50
- 32.10°, d 2.788, I = 92
- 32.57°, d 2.749, I = 62
- 33.29°, d 2.692, I = 78
- 33.44°, d 2.680, I = 100
- 33.84°, d 2.649, I = 48
- 34.01°, d 2.636, I = 33
- 34.26°, d 2.617, I = 56
- 37.92°, d 2.373, I = 34
- 53.67°, d 1.708, I = 37

---

Theoretical powder X-ray diffraction pattern of Tb4Y2Er for Cu Ka, from DFT lattice parameters and positions (PBE).

Atomic structure:
```
data_Tb4Y2Er
_symmetry_space_group_name_H-M 'P 1 21/m 1'
_symmetry_Int_Tables_number 11
_symmetry_space_group_name_Hall '-P 2yb'
_cell_length_a 6.2389
_cell_length_b 6.5052
_cell_length_c 11.4756
_cell_angle_alpha 90.00
_cell_angle_beta 105.46
_cell_angle_gamma 90.00
loop_
_atom_site_label
_atom_site_type_symbol
_atom_site_fract_x
_atom_site_fract_y
_atom_site_fract_z
Tb1 Tb 0.0396 0.2500 0.3647
Tb2 Tb 0.1418 0.2500 0.9487
Tb3 Tb 0.3424 0.5057 0.2138
Y1 Y 0.2951 0.7500 0.9233
Y2 Y 0.3860 0.7500 0.5054
Er1 Er 0.1624 0.2500 0.6656
```

Top 10 peaks for 2θ = 10–80°, in order of rising 2θ:
- 28.34°, d 3.150, I = 36
- 28.62°, d 3.119, I = 56
- 31.28°, d 2.860, I = 84
- 31.67°, d 2.825, I = 83
- 31.81°, d 2.813, I = 93
- 31.92°, d 2.804, I = 49
- 32.85°, d 2.727, I = 100
- 33.35°, d 2.686, I = 79
- 36.85°, d 2.439, I = 42
- 66.36°, d 1.409, I = 40

---

Theoretical powder X-ray diffraction pattern of CuRh2O4 for Cu Ka, from DFT lattice parameters and positions (PBE).

Atomic structure:
```
data_CuRh2O4
_symmetry_space_group_name_H-M 'I 41/a m d'
_symmetry_Int_Tables_number 141
_cell_length_a 6.1086
_cell_length_b 6.1086
_cell_length_c 8.5896
_cell_angle_alpha 90.00
_cell_angle_beta 90.00
_cell_angle_gamma 90.00
loop_
_symmetry_equiv_pos_as_xyz
'x,y,z'
'-x,-y,-z'
'-y+1/4,x+3/4,z+1/4'
'y+1/4,-x+3/4,-z+1/4'
'-x+1/2,-y,z+1/2'
'x+1/2,y,-z+1/2'
'y+1/4,-x+1/4,z+3/4'
'-y+1/4,x+1/4,-z+3/4'
'x,-y,-z'
'-x,y,z'
'-y+1/4,-x+1/4,-z+3/4'
'y+1/4,x+1/4,z+3/4'
'-x+1/2,y,-z+1/2'
'x+1/2,-y,z+1/2'
'y+1/4,x+3/4,-z+1/4'
'-y+1/4,-x+3/4,z+1/4'
'x+1/2,y+1/2,z+1/2'
'-x+1/2,-y+1/2,-z+1/2'
'-y+3/4,x+1/4,z+3/4'
'y+3/4,-x+1/4,-z+3/4'
'-x,-y+1/2,z'
'x,y+1/2,-z'
'y+3/4,-x+3/4,z+1/4'
'-y+3/4,x+3/4,-z+1/4'
'x+1/2,-y+1/2,-z+1/2'
'-x+1/2,y+1/2,z+1/2'
'-y+3/4,-x+3/4,-z+1/4'
'y+3/4,x+3/4,z+1/4'
'-x,y+1/2,-z'
'x,-y+1/2,z'
'y+3/4,x+1/4,-z+3/4'
'-y+3/4,-x+1/4,z+3/4'
loop_
_atom_site_label
_atom_site_type_symbol
_atom_site_fract_x
_atom_site_fract_y
_atom_site_fract_z
Cu1 Cu 0.0000 0.2500 0.3750
Rh1 Rh 0.0000 0.0000 0.0000
O1 O 0.0000 0.0228 0.7601
```

Top 10 peaks for 2θ = 10–80°, in order of rising 2θ:
- 17.82°, d 4.978, I = 48
- 29.30°, d 3.049, I = 25
- 34.45°, d 2.603, I = 100
- 34.60°, d 2.593, I = 50
- 36.08°, d 2.489, I = 41
- 41.83°, d 2.160, I = 26
- 55.26°, d 1.662, I = 30
- 55.57°, d 1.654, I = 15
- 60.64°, d 1.527, I = 22
- 60.83°, d 1.523, I = 43

---

Theoretical powder X-ray diffraction pattern of LiAl3Ag7 for Cu Ka, from DFT lattice parameters and positions (PBE).

Atomic structure:
```
data_LiAl3Ag7
_symmetry_space_group_name_H-M 'C 1 2/m 1'
_symmetry_Int_Tables_number 12
_symmetry_space_group_name_Hall '-C 2y'
_cell_length_a 9.6658
_cell_length_b 9.6000
_cell_length_c 4.7789
_cell_angle_alpha 90.00
_cell_angle_beta 117.95
_cell_angle_gamma 90.00
loop_
_atom_site_label
_atom_site_type_symbol
_atom_site_fract_x
_atom_site_fract_y
_atom_site_fract_z
Li1 Li 0.0000 0.0000 0.0000
Al1 Al 0.0000 0.2709 0.5000
Al2 Al 0.0000 0.5000 0.0000
Ag1 Ag 0.0000 0.0000 0.5000
Ag2 Ag 0.1789 0.2852 0.1815
Ag3 Ag 0.1850 0.5000 0.6787
```

Top 10 peaks for 2θ = 10–80°, in order of rising 2θ:
- 28.15°, d 3.170, I = 50
- 28.56°, d 3.125, I = 47
- 32.82°, d 2.729, I = 59
- 33.71°, d 2.659, I = 43
- 37.47°, d 2.400, I = 66
- 37.66°, d 2.388, I = 100
- 39.65°, d 2.273, I = 52
- 40.25°, d 2.241, I = 51
- 41.00°, d 2.201, I = 69
- 41.88°, d 2.157, I = 64